For BiOF, a GGA-PBE-relaxed structure gives the computed powder XRD pattern in this record (Cu Ka).
Neutral-atom scattering factors, no anomalous dispersion.

Principal peaks in the range 10° ≤ 2θ ≤ 90°, by intensity:
(0 2 2), 27.6 deg, intensity 100
(2 2 0), 25.0 deg, intensity 89
(2 4 2), 44.2 deg, intensity 47
(2 0 2), 29.9 deg, intensity 45
(3 3 1), 39.7 deg, intensity 33
(3 1 1), 32.4 deg, intensity 30
(1 1 1), 16.8 deg, intensity 27
(0 4 4), 57.1 deg, intensity 26
(0 4 0), 31.8 deg, intensity 24
(2 2 4), 53.2 deg, intensity 24

abc: 9.173 11.272 7.871
angles: 90.00 90.00 90.00
Space group Fdd2 (No. 43)
Unique sites:
Bi1 0.048 0.250 0.000 x16
O1 0.002 0.132 0.750 x16
F1 0.119 0.125 0.369 x16



For SiNiSb, a GGA-PBE-relaxed structure gives the computed powder XRD pattern in this record (Cu Ka).
Neutral-atom scattering factors, no anomalous dispersion.

Principal peaks in the range 10° ≤ 2θ ≤ 90°, by intensity:
(1 1 2), 41.1 deg, intensity 100
(1 0 1), 25.6 deg, intensity 74
(2 0 0), 44.7 deg, intensity 44
(0 0 1), 13.0 deg, intensity 37
(3 1 2), 80.0 deg, intensity 27
(1 1 1), 33.9 deg, intensity 23
(2 1 1), 52.2 deg, intensity 21
(1 1 0), 31.2 deg, intensity 19
(1 0 3), 45.8 deg, intensity 16
(2 2 0), 65.1 deg, intensity 14

abc: 4.053 4.053 6.818
angles: 90.00 90.00 90.00
Space group P4/nmm (No. 129, origin choice 2)
Unique sites:
Si1 0.250 0.250 0.194 x2
Ni1 0.250 0.750 0.000 x2
Sb1 0.250 0.250 0.725 x2



For MnCd3Te4, a GGA-PBE-relaxed structure gives the computed powder XRD pattern in this record (Cu Ka).
Neutral-atom scattering factors, no anomalous dispersion.

Principal peaks in the range 10° ≤ 2θ ≤ 90°, by intensity:
(1 0 1), 23.5 deg, intensity 100
(1 2 2), 39.0 deg, intensity 52
(2 2 1), 45.9 deg, intensity 33
(2 0 0), 38.8 deg, intensity 26
(3 2 2), 70.3 deg, intensity 17
(0 2 3), 46.2 deg, intensity 16
(2 2 3), 61.9 deg, intensity 13
(2 4 0), 56.0 deg, intensity 9
(2 0 4), 70.8 deg, intensity 8
(3 4 1), 75.2 deg, intensity 7

abc: 4.643 9.292 6.500
angles: 90.00 90.00 90.00
Space group Pmm2 (No. 25)
Unique sites:
Mn1 0.000 0.000 0.000 x1
Cd1 0.000 0.500 0.004 x1
Cd2 0.500 0.246 0.501 x2
Te1 0.000 0.241 0.243 x2
Te2 0.500 0.000 0.771 x1
Te3 0.500 0.500 0.749 x1



Question: Which formula does entry 2 have?
Answer: SiNiSb